This entry pairs a crystal structure of PmNdTeAs with its computed XRD peak list. Radiation: Cu Kα. Structure: the PBE geometry in Alexandria.
Neutral-atom scattering factors, no anomalous dispersion.

Structure:
Cell lengths 4.2699, 4.2699, 22.6329 Å; angles 90.00, 90.00, 120.00 degrees
Space group R3m (No. 160, hexagonal axes)
One atom of each set of equivalent atoms:
Pm (0.0000, 0.0000, 0.0000)
Nd (0.0000, 0.0000, 0.1884)
Te (0.0000, 0.0000, 0.4263)
As (0.0000, 0.0000, 0.5965)

Most intense lines, 5 to 70 degrees two-theta, by angle:
2θ 24.39, 3.649 Å, I = 21, hkl 1 0 1
2θ 25.34, 3.515 Å, I = 23, hkl 0 1 2
2θ 28.84, 3.095 Å, I = 30, hkl 1 0 4
2θ 31.23, 2.864 Å, I = 100, hkl 0 1 5
2θ 36.93, 2.434 Å, I = 31, hkl 1 0 7
2θ 42.33, 2.135 Å, I = 53, hkl 1 1 0
2θ 47.08, 1.930 Å, I = 17, hkl 1 0 10
2θ 53.54, 1.712 Å, I = 22, hkl 2 0 5
2θ 56.55, 1.628 Å, I = 9, hkl 1 1 9
2θ 66.10, 1.413 Å, I = 18, hkl 1 1 12

=====

This entry pairs a crystal structure of Th2Co5Si4 with its computed XRD peak list. Radiation: Cu Kα. Structure: the PBE geometry in Alexandria.
Neutral-atom scattering factors, no anomalous dispersion.

Structure:
Cell lengths 5.394, 9.341, 13.299 Å; angles 90.00, 90.00, 90.00 degrees
Space group Fmmm (No. 69)
One atom of each set of equivalent atoms:
Th (0.000, 0.000, 0.137)
Co (0.000, 0.000, 0.500)
Co (0.250, 0.250, 0.000)
Co (0.250, 0.250, 0.250)
Si (0.000, 0.156, 0.369)

Most intense lines, 5 to 70 degrees two-theta, by angle:
2θ 20.15, 4.407 Å, I = 44, hkl 1 1 1
2θ 27.74, 3.215 Å, I = 97, hkl 1 1 3
2θ 33.07, 2.709 Å, I = 67, hkl 0 2 4
2θ 33.92, 2.643 Å, I = 36, hkl 1 3 1
2θ 38.55, 2.335 Å, I = 100, hkl 2 2 0
2θ 39.10, 2.304 Å, I = 72, hkl 1 3 3
2θ 43.19, 2.094 Å, I = 52, hkl 2 0 4
2θ 56.07, 1.640 Å, I = 31, hkl 1 5 3
2θ 69.39, 1.354 Å, I = 27, hkl 2 2 8
2θ 69.74, 1.348 Å, I = 26, hkl 4 0 0

=====

This entry pairs a crystal structure of Cs2InGaI6 with its computed XRD peak list. Radiation: Cu Kα. Structure: the PBE geometry in Alexandria.
Neutral-atom scattering factors, no anomalous dispersion.

Structure:
Cell lengths 12.217, 12.217, 12.217 Å; angles 90.00, 90.00, 90.00 degrees
Space group Fm-3m (No. 225)
One atom of each set of equivalent atoms:
Cs (0.250, 0.250, 0.250)
In (0.000, 0.000, 0.000)
Ga (0.000, 0.000, 0.500)
I (0.000, 0.000, 0.244)

Most intense lines, 5 to 70 degrees two-theta, by angle:
2θ 14.50, 6.108 Å, I = 13, hkl 2 0 0
2θ 20.56, 4.319 Å, I = 13, hkl 2 2 0
2θ 25.25, 3.527 Å, I = 91, hkl 2 2 2
2θ 29.24, 3.054 Å, I = 100, hkl 4 0 0
2θ 41.83, 2.160 Å, I = 74, hkl 4 4 0
2θ 49.49, 1.842 Å, I = 42, hkl 6 2 2
2θ 51.85, 1.763 Å, I = 26, hkl 4 4 4
2θ 60.64, 1.527 Å, I = 12, hkl 8 0 0
2θ 66.75, 1.401 Å, I = 17, hkl 6 6 2
2θ 68.72, 1.366 Å, I = 33, hkl 8 4 0